No. 1
Starting from a structure optimized by DFT (GGA-PBE), the powder diffractogram of NaMg5Hg6 was simulated for λ = 1.5418 Å (Cu Kα).
Neutral-atom scattering factors, no anomalous dispersion.

Most intense lines, 10 to 90 degrees two-theta, low angle first:
2θ (°), I/Imax
24.59, 76
25.50, 70
25.73, 68
35.72, 100
35.89, 99
36.37, 48
36.72, 46
44.40, 33
44.69, 32
50.41, 19

Cell and atoms:
Cell lengths 4.9409, 7.2405, 7.7271 Å; angles 90.00, 108.14, 90.00 degrees
Space group P2/m (No. 10)
One atom of each set of equivalent atoms:
Na 0.0000 0.0000 0.0000 [1 per cell]
Mg 0.0000 0.5000 0.0000 [1 per cell]
Mg 0.3348 0.0000 0.6666 [2 per cell]
Mg 0.3358 0.5000 0.6721 [2 per cell]
Hg 0.1702 0.2551 0.3399 [4 per cell]
Hg 0.5000 0.2546 0.0000 [2 per cell]

No. 2
Starting from a structure optimized by DFT (GGA-PBE), the powder diffractogram of NaMg4Hg8 was simulated for λ = 1.5418 Å (Cu Kα).
Neutral-atom scattering factors, no anomalous dispersion.

Most intense lines, 10 to 90 degrees two-theta, low angle first:
2θ (°), I/Imax
15.12, 26
27.43, 100
32.70, 69
36.21, 32
44.39, 23
44.85, 36
53.38, 13
56.60, 13
64.03, 12
66.58, 18

Cell and atoms:
Cell lengths 8.0835, 8.0835, 17.5835 Å; angles 90.00, 90.00, 120.00 degrees
Space group R-3m (No. 166, hexagonal axes)
One atom of each set of equivalent atoms:
Na 0.0000 0.0000 0.0000 [3 per cell]
Mg 0.0000 0.0000 0.5000 [3 per cell]
Mg 0.0000 0.5000 0.0000 [9 per cell]
Hg 0.0000 0.0000 0.2358 [6 per cell]
Hg 0.0354 0.5177 0.7765 [18 per cell]

No. 3
Starting from a structure optimized by DFT (GGA-PBE), the powder diffractogram of RbNa5MgHg2 was simulated for λ = 1.5418 Å (Cu Kα).
Neutral-atom scattering factors, no anomalous dispersion.

Most intense lines, 10 to 90 degrees two-theta, low angle first:
2θ (°), I/Imax
15.23, 78
15.51, 26
21.60, 52
21.80, 100
30.73, 46
34.46, 23
37.99, 50
38.35, 44
49.58, 24
59.77, 24

Cell and atoms:
Cell lengths 5.8193, 5.8193, 11.4290 Å; angles 90.00, 90.00, 90.00 degrees
Space group P4/mmm (No. 123)
One atom of each set of equivalent atoms:
Rb 0.0000 0.0000 0.0000 [1 per cell]
Na 0.0000 0.5000 0.3354 [4 per cell]
Na 0.5000 0.5000 0.0000 [1 per cell]
Mg 0.5000 0.5000 0.5000 [1 per cell]
Hg 0.5000 0.5000 0.2537 [2 per cell]

No. 4
Starting from a structure optimized by DFT (GGA-PBE), the powder diffractogram of NaMgHgSe2 was simulated for λ = 1.5418 Å (Cu Kα).
Neutral-atom scattering factors, no anomalous dispersion.

Most intense lines, 10 to 90 degrees two-theta, low angle first:
2θ (°), I/Imax
12.64, 100
17.37, 60
22.88, 25
27.08, 24
27.37, 29
28.16, 28
29.90, 22
35.15, 37
37.82, 25
45.89, 34

Cell and atoms:
Cell lengths 7.0339, 7.4626, 6.5480 Å; angles 90.00, 95.57, 90.00 degrees
Space group P2/c (No. 13)
One atom of each set of equivalent atoms:
Na 0.0000 0.0782 0.2500 [2 per cell]
Mg 0.5000 0.0005 0.2500 [2 per cell]
Hg 0.5000 0.5000 0.0000 [2 per cell]
Se 0.2806 0.1791 0.9768 [4 per cell]